1.
Simulated powder diffractogram
Compound: YCu6
Radiation: Cu Kα
Structure: the PBE geometry in Alexandria

```
28
Lattice="7.9776 0.0000 0.0000 0.0000 5.0603 0.0000 0.0000 0.0000 10.0309" Properties=species:S:1:pos:R:3 pbc="T T T"
Y 1.9250 1.2651 0.6442
Y 2.0638 3.7953 5.6596
Y 5.9138 1.2651 4.3713
Y 6.0526 3.7953 9.3867
Cu 0.5174 3.7953 0.9355
Cu 0.5227 0.0355 3.0965
Cu 0.5227 2.4947 3.0965
Cu 0.7979 1.2651 5.1938
Cu 1.1666 3.7953 8.5777
Cu 1.4564 1.2651 7.5943
Cu 2.5324 3.7953 2.5789
Cu 2.8222 1.2651 3.5623
Cu 3.1909 3.7953 0.1784
Cu 3.4661 2.5656 8.1120
Cu 3.4661 5.0249 8.1120
Cu 3.4714 1.2651 5.9509
Cu 4.5062 3.7953 4.0800
Cu 4.5115 0.0355 1.9190
Cu 4.5115 2.4947 1.9190
Cu 4.7867 1.2651 9.8525
Cu 5.1554 3.7953 6.4686
Cu 5.4452 1.2651 7.4520
Cu 6.5212 3.7953 2.4366
Cu 6.8110 1.2651 1.4532
Cu 7.1797 3.7953 4.8371
Cu 7.4549 2.5656 6.9344
Cu 7.4549 5.0249 6.9344
Cu 7.4602 1.2651 9.0955
```

Largest 8 diffraction maxima, by angle, 2θ = 15–90°:
- 2θ = 35.48°, I 24
- 2θ = 37.60°, I 37
- 2θ = 39.31°, I 66
- 2θ = 39.42°, I 50
- 2θ = 43.30°, I 31
- 2θ = 46.41°, I 100
- 2θ = 46.69°, I 22
- 2θ = 66.31°, I 21

2.
Simulated powder diffractogram
Compound: Hf2Zr2Os
Radiation: Cu Kα
Structure: the PBE geometry in Alexandria

```
10
Lattice="-2.2821 2.2821 10.6293 2.2821 -2.2821 10.6293 2.2821 2.2821 -10.6293" Properties=species:S:1:pos:R:3 pbc="T T T"
Hf 2.2821 1.1410 -4.2271
Hf 0.0000 1.1410 1.0875
Hf 2.2821 1.1410 9.5417
Hf 0.0000 1.1410 14.8564
Zr 2.2821 1.1410 -1.0347
Zr 0.0000 1.1410 4.2799
Zr 2.2821 1.1410 6.3494
Zr 0.0000 1.1410 11.6640
Os 2.2821 1.1410 2.6573
Os 0.0000 1.1410 7.9720
```

Largest 8 diffraction maxima, by angle, 2θ = 15–90°:
- 2θ = 23.18°, I 42
- 2θ = 37.70°, I 100
- 2θ = 39.49°, I 48
- 2θ = 46.29°, I 14
- 2θ = 57.08°, I 16
- 2θ = 66.86°, I 14
- 2θ = 70.44°, I 32
- 2θ = 80.50°, I 10

3.
Simulated powder diffractogram
Compound: Na2CaP2O8
Radiation: Cu Kα
Structure: the PBE geometry in Alexandria

```
26
Lattice="5.5919 0.0000 0.0000 0.0000 7.9567 0.0000 -5.1816 0.0000 9.4174" Properties=species:S:1:pos:R:3 pbc="T T T"
Na 0.5681 1.0411 1.3029
Na -2.0227 2.9373 6.0116
Na 2.4331 5.0195 3.4058
Na -0.1577 6.9156 8.1145
Ca 0.2052 0.0000 4.7087
Ca 2.7960 3.9784 0.0000
P -0.0997 5.5801 1.9044
P -2.6905 6.3550 6.6131
P 3.1008 1.6017 2.8043
P 0.5100 2.3767 7.5130
O -1.0807 1.0083 2.9620
O -3.6715 2.9701 7.6707
O -2.5355 5.1811 5.6019
O 0.0553 6.7540 0.8932
O 0.9999 4.5965 1.4025
O -1.5909 7.3386 6.1112
O -2.3812 5.9173 8.0530
O 0.2095 6.0178 3.3443
O 0.2008 1.9389 6.0731
O 2.7916 2.0394 1.3644
O 2.0012 0.6181 3.3062
O -0.5896 3.3602 8.0149
O 0.3551 1.2028 8.5242
O 2.9458 2.7756 3.8155
O 4.0819 4.9866 1.7467
O 1.4911 6.9485 6.4554
```

Largest 8 diffraction maxima, by angle, 2θ = 15–90°:
- 2θ = 19.41°, I 52
- 2θ = 21.30°, I 40
- 2θ = 21.91°, I 100
- 2θ = 24.29°, I 84
- 2θ = 27.68°, I 28
- 2θ = 29.39°, I 34
- 2θ = 32.07°, I 76
- 2θ = 44.69°, I 24